[1]
This entry pairs a crystal structure of Tl2GePbS4 with its calculated X-ray diffraction stick pattern. Radiation: a wavelength of 1.5418 Å. Structure: a crystal structure in the Materials Project, relaxed with PBE.
Neutral-atom scattering factors, no anomalous dispersion.

Crystal structure
```
data_Tl2GePbS4
_cell_length_a 10.6628
_cell_length_b 9.2424
_cell_length_c 9.0535
_cell_angle_alpha 90.00
_cell_angle_beta 94.19
_cell_angle_gamma 90.00
_symmetry_space_group_name_H-M 'P 1 21/c 1'
_symmetry_Int_Tables_number 14
loop_
_symmetry_equiv_pos_as_xyz
'x,y,z'
'-x,-y,-z'
'-x,y+1/2,-z+1/2'
'x,-y+1/2,z+1/2'
loop_
_atom_site_label
_atom_site_type_symbol
_atom_site_fract_x
_atom_site_fract_y
_atom_site_fract_z
Tl1 Tl 0.0533 0.1924 0.0594
Tl2 Tl 0.2288 0.6081 0.9005
Ge1 Ge 0.2609 0.0266 0.7922
Pb1 Pb 0.4462 0.1937 0.1019
S1 S 0.0795 0.5351 0.1770
S2 S 0.2661 0.2285 0.3164
S3 S 0.2943 0.5609 0.5225
S4 S 0.4239 0.5312 0.1604
```

The 10 most intense peaks (10° ≤ 2θ ≤ 90°), in order of rising 2θ:
2θ = 21.91°, intensity 100, hkl 0 1 2
2θ = 22.92°, intensity 37, hkl 1 2 -1
2θ = 25.54°, intensity 39, hkl 2 2 0
2θ = 26.94°, intensity 67, hkl 3 1 0
2θ = 27.86°, intensity 32, hkl 2 2 1
2θ = 30.91°, intensity 47, hkl 3 0 -2
2θ = 32.43°, intensity 26, hkl 3 1 -2
2θ = 33.25°, intensity 36, hkl 3 0 2
2θ = 34.73°, intensity 27, hkl 2 3 -1
2θ = 35.46°, intensity 27, hkl 2 3 1

[2]
This entry pairs a crystal structure of K2PbO3 with its calculated X-ray diffraction stick pattern. Radiation: a wavelength of 1.5418 Å. Structure: a crystal structure in the Materials Project, relaxed with PBE.
Neutral-atom scattering factors, no anomalous dispersion.

Crystal structure
```
data_K2PbO3
_cell_length_a 6.1192
_cell_length_b 6.1192
_cell_length_c 12.6184
_cell_angle_alpha 90.00
_cell_angle_beta 90.00
_cell_angle_gamma 120.00
_symmetry_space_group_name_H-M 'P 63/m c m'
_symmetry_Int_Tables_number 193
_symmetry_space_group_name_Hall '-P 6c 2'
loop_
_atom_site_label
_atom_site_type_symbol
_atom_site_fract_x
_atom_site_fract_y
_atom_site_fract_z
K1 K 0.0000 0.0000 0.0000
K2 K 0.0000 0.3171 0.2500
Pb1 Pb 0.3333 0.6667 0.0000
O1 O 0.0000 0.3857 0.5999
```

The 10 most intense peaks (10° ≤ 2θ ≤ 90°), in order of rising 2θ:
2θ = 14.04°, intensity 61, hkl 0 0 2
2θ = 16.73°, intensity 29, hkl 1 0 0
2θ = 21.90°, intensity 33, hkl 1 0 2
2θ = 28.29°, intensity 23, hkl 0 0 4
2θ = 29.19°, intensity 31, hkl 1 1 0
2θ = 32.52°, intensity 100, hkl 1 1 2
2θ = 41.10°, intensity 39, hkl 1 1 4
2θ = 51.75°, intensity 21, hkl 3 0 0
2θ = 52.82°, intensity 30, hkl 1 1 6
2θ = 60.02°, intensity 19, hkl 3 0 4

[3]
This entry pairs a crystal structure of Cs4LiPb4O6 with its calculated X-ray diffraction stick pattern. Radiation: a wavelength of 1.5418 Å. Structure: a crystal structure in the Materials Project, relaxed with PBE.
Neutral-atom scattering factors, no anomalous dispersion.

Crystal structure
```
data_Cs4LiPb4O6
_cell_length_a 13.6578
_cell_length_b 8.7224
_cell_length_c 9.1962
_cell_angle_alpha 90.00
_cell_angle_beta 131.92
_cell_angle_gamma 90.00
_symmetry_space_group_name_H-M 'C 1 2 1'
_symmetry_Int_Tables_number 5
loop_
_symmetry_equiv_pos_as_xyz
'x,y,z'
'-x,y,-z'
'x+1/2,y+1/2,z'
'-x+1/2,y+1/2,-z'
loop_
_atom_site_label
_atom_site_type_symbol
_atom_site_fract_x
_atom_site_fract_y
_atom_site_fract_z
Cs1 Cs 0.2002 0.0000 0.2033
Cs2 Cs 0.2328 0.9889 0.7314
Li1 Li 0.0000 0.4716 0.5000
Pb1 Pb 0.0293 0.7406 0.7690
Pb2 Pb 0.0324 0.2472 0.7884
O1 O 0.0000 0.2583 0.0000
O2 O 0.0000 0.6800 0.5000
O3 O 0.0023 0.9936 0.2688
O4 O 0.2472 0.7428 0.9950
```

The 10 most intense peaks (10° ≤ 2θ ≤ 90°), in order of rising 2θ:
2θ = 26.04°, intensity 46, hkl 0 0 2
2θ = 26.23°, intensity 43, hkl 4 0 -2
2θ = 26.94°, intensity 83, hkl 2 2 0
2θ = 28.20°, intensity 100, hkl 2 2 -2
2θ = 39.19°, intensity 23, hkl 4 0 -4
2θ = 41.41°, intensity 19, hkl 0 4 0
2θ = 45.68°, intensity 18, hkl 2 2 2
2θ = 48.09°, intensity 18, hkl 2 2 -4
2θ = 49.57°, intensity 17, hkl 0 4 2
2θ = 58.31°, intensity 19, hkl 4 4 -4

[4]
This entry pairs a crystal structure of Ba3Al3N5 with its calculated X-ray diffraction stick pattern. Radiation: a wavelength of 1.5418 Å. Structure: a crystal structure in the Materials Project, relaxed with PBE.
Neutral-atom scattering factors, no anomalous dispersion.

Crystal structure
```
data_Ba3Al3N5
_cell_length_a 5.9497
_cell_length_b 7.6352
_cell_length_c 8.8767
_cell_angle_alpha 108.79
_cell_angle_beta 100.95
_cell_angle_gamma 96.57
_symmetry_space_group_name_H-M 'P -1'
_symmetry_Int_Tables_number 2
loop_
_symmetry_equiv_pos_as_xyz
'x,y,z'
'-x,-y,-z'
loop_
_atom_site_label
_atom_site_type_symbol
_atom_site_fract_x
_atom_site_fract_y
_atom_site_fract_z
Ba1 Ba 0.1611 0.1608 0.2159
Ba2 Ba 0.1661 0.3570 0.8802
Ba3 Ba 0.3108 0.9271 0.6099
Al1 Al 0.1980 0.4702 0.5798
Al2 Al 0.4011 0.6080 0.2924
Al3 Al 0.4162 0.8198 0.9772
N1 N 0.1306 0.5480 0.3900
N2 N 0.2811 0.0160 0.9219
N3 N 0.3131 0.7179 0.1301
N4 N 0.3213 0.2444 0.5444
N5 N 0.4359 0.6115 0.7808
```

The 10 most intense peaks (10° ≤ 2θ ≤ 90°), in order of rising 2θ:
2θ = 20.96°, intensity 18, hkl 1 0 1
2θ = 21.68°, intensity 18, hkl 1 1 0
2θ = 23.55°, intensity 17, hkl 0 2 -1
2θ = 27.83°, intensity 56, hkl 1 -1 2
2θ = 30.84°, intensity 100, hkl 0 2 1
2θ = 32.21°, intensity 34, hkl -2 1 1
2θ = 32.88°, intensity 53, hkl 1 0 -3
2θ = 35.92°, intensity 23, hkl 2 1 0
2θ = 37.08°, intensity 31, hkl 1 -3 1
2θ = 57.44°, intensity 17, hkl -1 2 4

[5]
This entry pairs a crystal structure of AgTe3 with its calculated X-ray diffraction stick pattern. Radiation: a wavelength of 1.5418 Å. Structure: a crystal structure in the Materials Project, relaxed with PBE.
Neutral-atom scattering factors, no anomalous dispersion.

Crystal structure
```
data_AgTe3
_cell_length_a 3.1358
_cell_length_b 3.1358
_cell_length_c 12.6819
_cell_angle_alpha 90.00
_cell_angle_beta 90.00
_cell_angle_gamma 90.00
_symmetry_space_group_name_H-M 'P 4/m m m'
_symmetry_Int_Tables_number 123
_symmetry_space_group_name_Hall '-P 4 2'
loop_
_atom_site_label
_atom_site_type_symbol
_atom_site_fract_x
_atom_site_fract_y
_atom_site_fract_z
Ag1 Ag 0.0000 0.0000 0.0000
Te1 Te 0.0000 0.0000 0.2136
Te2 Te 0.0000 0.0000 0.5000
```

The 10 most intense peaks (10° ≤ 2θ ≤ 90°), in order of rising 2θ:
2θ = 21.02°, intensity 13, hkl 0 0 3
2θ = 28.15°, intensity 33, hkl 0 0 4
2θ = 28.46°, intensity 100, hkl 1 0 0
2θ = 35.65°, intensity 13, hkl 1 0 3
2θ = 40.46°, intensity 49, hkl 1 0 4
2θ = 40.69°, intensity 38, hkl 1 1 0
2θ = 50.21°, intensity 26, hkl 1 1 4
2θ = 58.89°, intensity 20, hkl 2 0 0
2θ = 66.69°, intensity 22, hkl 2 1 0
2θ = 73.90°, intensity 16, hkl 2 1 4

[6]
This entry pairs a crystal structure of BaCuRu5O11 with its calculated X-ray diffraction stick pattern. Radiation: a wavelength of 1.5418 Å. Structure: a crystal structure in the Materials Project, relaxed with PBE.
Neutral-atom scattering factors, no anomalous dispersion.

Crystal structure
```
data_BaCuRu5O11
_cell_length_a 5.9372
_cell_length_b 5.9372
_cell_length_c 14.0517
_cell_angle_alpha 90.00
_cell_angle_beta 90.00
_cell_angle_gamma 120.00
_symmetry_space_group_name_H-M 'P 63/m m c'
_symmetry_Int_Tables_number 194
_symmetry_space_group_name_Hall '-P 6c 2c'
loop_
_atom_site_label
_atom_site_type_symbol
_atom_site_fract_x
_atom_site_fract_y
_atom_site_fract_z
Ba1 Ba 0.3333 0.6667 0.2500
Cu1 Cu 0.3333 0.6667 0.7500
Ru1 Ru 0.0000 0.0000 0.1530
Ru2 Ru 0.0000 0.5000 0.0000
O1 O 0.1472 0.2944 0.7500
O2 O 0.1694 0.3388 0.0803
O3 O 0.3333 0.6667 0.5824
```

The 10 most intense peaks (10° ≤ 2θ ≤ 90°), in order of rising 2θ:
2θ = 25.35°, intensity 28, hkl 0 0 4
2θ = 30.10°, intensity 38, hkl 1 1 0
2θ = 30.83°, intensity 100, hkl 1 0 4
2θ = 32.75°, intensity 94, hkl 1 1 2
2θ = 34.90°, intensity 32, hkl 2 0 0
2θ = 37.24°, intensity 54, hkl 2 0 2
2θ = 52.88°, intensity 80, hkl 2 0 6
2θ = 53.92°, intensity 46, hkl 2 1 4
2θ = 55.16°, intensity 20, hkl 3 0 2
2θ = 62.58°, intensity 39, hkl 2 2 0

[7]
This entry pairs a crystal structure of MgTi6H4O14 with its calculated X-ray diffraction stick pattern. Radiation: a wavelength of 1.5418 Å. Structure: a crystal structure in the Materials Project, relaxed with PBE.
Neutral-atom scattering factors, no anomalous dispersion.

Crystal structure
```
data_MgTi6H4O14
_cell_length_a 3.8892
_cell_length_b 7.7941
_cell_length_c 9.3236
_cell_angle_alpha 76.70
_cell_angle_beta 89.21
_cell_angle_gamma 86.96
_symmetry_space_group_name_H-M 'P 1'
_symmetry_Int_Tables_number 1
loop_
_symmetry_equiv_pos_as_xyz
'x,y,z'
loop_
_atom_site_label
_atom_site_type_symbol
_atom_site_fract_x
_atom_site_fract_y
_atom_site_fract_z
Mg1 Mg 0.0000 0.0000 0.0000
Ti1 Ti 0.0387 0.5559 0.2112
Ti2 Ti 0.0568 0.4227 0.9107
Ti3 Ti 0.0781 0.3301 0.5989
Ti4 Ti 0.5021 0.8335 0.2581
Ti5 Ti 0.5280 0.7358 0.9442
Ti6 Ti 0.5444 0.6076 0.6449
H1 H 0.3057 0.1909 0.2294
H2 H 0.3116 0.0876 0.3998
H3 H 0.3706 0.9353 0.6732
H4 H 0.9205 0.0228 0.5781
O1 O 0.0059 0.8294 0.2219
O2 O 0.0286 0.7193 0.9618
O3 O 0.0489 0.5591 0.6826
O4 O 0.0548 0.2238 0.8511
O5 O 0.0597 0.4385 0.3996
O6 O 0.0736 0.3611 0.1134
O7 O 0.1344 0.0844 0.5730
O8 O 0.4193 0.0881 0.3009
O9 O 0.5061 0.9490 0.0207
O10 O 0.5220 0.7343 0.4567
O11 O 0.5221 0.8311 0.7307
O12 O 0.5342 0.6104 0.1735
O13 O 0.5525 0.4973 0.8878
O14 O 0.5709 0.3531 0.6233
```

The 10 most intense peaks (10° ≤ 2θ ≤ 90°), in order of rising 2θ:
2θ = 11.68°, intensity 100, hkl 0 1 0
2θ = 13.40°, intensity 17, hkl 0 1 1
2θ = 16.88°, intensity 32, hkl 0 1 -1
2θ = 25.23°, intensity 38, hkl 1 1 0
2θ = 26.32°, intensity 25, hkl 1 -1 0
2θ = 29.53°, intensity 33, hkl 0 0 3
2θ = 36.53°, intensity 46, hkl 0 3 2
2θ = 44.23°, intensity 28, hkl 0 1 -4
2θ = 46.77°, intensity 30, hkl 2 0 0
2θ = 47.60°, intensity 12, hkl 0 4 2

[8]
This entry pairs a crystal structure of BaMn2P2 with its calculated X-ray diffraction stick pattern. Radiation: a wavelength of 1.5418 Å. Structure: a crystal structure in the Materials Project, relaxed with PBE.
Neutral-atom scattering factors, no anomalous dispersion.

Crystal structure
```
data_BaMn2P2
_cell_length_a 3.8184
_cell_length_b 3.8184
_cell_length_c 12.8816
_cell_angle_alpha 90.00
_cell_angle_beta 90.00
_cell_angle_gamma 90.00
_symmetry_space_group_name_H-M 'I 4/m m m'
_symmetry_Int_Tables_number 139
_symmetry_space_group_name_Hall '-I 4 2'
loop_
_atom_site_label
_atom_site_type_symbol
_atom_site_fract_x
_atom_site_fract_y
_atom_site_fract_z
Ba1 Ba 0.0000 0.0000 0.0000
Mn1 Mn 0.0000 0.5000 0.2500
P1 P 0.0000 0.0000 0.3465
```

The 10 most intense peaks (10° ≤ 2θ ≤ 90°), in order of rising 2θ:
2θ = 24.31°, intensity 46, hkl 1 0 1
2θ = 27.70°, intensity 37, hkl 0 0 4
2θ = 31.35°, intensity 100, hkl 1 0 3
2θ = 36.07°, intensity 92, hkl 1 1 2
2θ = 42.32°, intensity 18, hkl 1 0 5
2θ = 47.63°, intensity 38, hkl 2 0 0
2θ = 54.61°, intensity 47, hkl 1 1 6
2θ = 55.99°, intensity 19, hkl 2 0 4
2θ = 58.14°, intensity 33, hkl 2 1 3
2θ = 81.02°, intensity 16, hkl 3 1 2